Nd3SbIr: computed powder diffractogram (Cu Kα), based on a PBE-relaxed structure.
Lines closer than 0.1° are merged.

Most intense lines, 2θ = 10–90°, by angle:
- hkl 1 0 -1, 12.7 deg, 6.976 Å, I = 67.6
- hkl 1 1 1, 27.6 deg, 3.235 Å, I = 31.8
- hkl 1 1 -2, 28.7 deg, 3.106 Å, I = 34.4
- hkl 2 1 -1, 29.6 deg, 3.019 Å, I = 100.0
- hkl 1 0 -3, 31.0 deg, 2.881 Å, I = 98.5
- hkl 2 1 -2, 32.4 deg, 2.763 Å, I = 79.2
- hkl 1 1 2, 35.5 deg, 2.530 Å, I = 65.0
- hkl 3 0 0, 36.0 deg, 2.494 Å, I = 47.7
- hkl 1 1 -3, 37.0 deg, 2.428 Å, I = 61.8
- hkl 0 2 0, 39.8 deg, 2.265 Å, I = 72.4

Cell and atoms:
a b c (Å): 8.127 4.530 8.636
angles (deg): 90.00 113.00 90.00
Space group P2_1/m (No. 11)
One atom of each set of equivalent atoms:
Nd1 0.046 0.250 0.240 [2 per cell]
Nd2 0.331 0.250 0.926 [2 per cell]
Nd3 0.331 0.750 0.589 [2 per cell]
Sb1 0.332 0.750 0.202 [2 per cell]
Ir1 0.077 0.250 0.598 [2 per cell]